Simulated powder diffraction line list of Pm2P7Ir12 for Cu Ka, from a DFT-relaxed cell (PBE, Alexandria).

Principal peaks in the range 2θ = 5–70°, low angle first:
28.36°, intensity 19; 36.32°, intensity 100; 45.34°, intensity 26; 47.61°, intensity 12; 50.21°, intensity 18; 54.35°, intensity 7; 63.54°, intensity 8; 69.95°, intensity 13

Structural model:
Unit cell a=9.6140 b=9.6140 c=4.0003 alpha=90.00 beta=90.00 gamma=120.00
Element x y z (fractional)
Pm1 0.3333 0.6667 0.2470
Pm2 0.6667 0.3333 0.7530
P1 0.0000 0.0000 0.5000
P2 0.1229 0.7160 0.7531
P3 0.2840 0.4069 0.7531
P4 0.4069 0.1229 0.2469
P5 0.5931 0.8771 0.7531
P6 0.7160 0.5931 0.2469
P7 0.8771 0.2840 0.2469
Ir1 0.0677 0.4513 0.7458
Ir2 0.1058 0.2620 0.2367
Ir3 0.1562 0.8942 0.2367
Ir4 0.2620 0.1562 0.7633
Ir5 0.3836 0.9323 0.7458
Ir6 0.4513 0.3836 0.2542
Ir7 0.5487 0.6164 0.7458
Ir8 0.6164 0.0677 0.2542
Ir9 0.7380 0.8438 0.2367
Ir10 0.8438 0.1058 0.7633
Ir11 0.8942 0.7380 0.7633
Ir12 0.9323 0.5487 0.2542

Simulated powder diffraction line list of KGa4Ag2 for Cu Ka, from a DFT-relaxed cell (PBE, Alexandria).

Principal peaks in the range 2θ = 5–70°, low angle first:
13.30°, intensity 43; 18.86°, intensity 29; 29.49°, intensity 37; 33.88°, intensity 69; 38.25°, intensity 24; 39.48°, intensity 22; 40.26°, intensity 100; 42.98°, intensity 38

Structural model:
Unit cell a=9.4120 b=9.4120 c=3.4018 alpha=90.00 beta=90.00 gamma=90.00
Element x y z (fractional)
K1 0.0000 0.0000 0.0000
K2 0.5000 0.5000 0.5000
Ga1 0.0357 0.3338 0.5000
Ga2 0.1662 0.5357 0.0000
Ga3 0.3338 0.0357 0.5000
Ga4 0.4643 0.8338 0.0000
Ga5 0.5357 0.1662 0.0000
Ga6 0.6662 0.9643 0.5000
Ga7 0.8338 0.4643 0.0000
Ga8 0.9643 0.6662 0.5000
Ag1 0.2384 0.7616 0.5000
Ag2 0.2616 0.2616 0.0000
Ag3 0.7384 0.7384 0.0000
Ag4 0.7616 0.2384 0.5000

Simulated powder diffraction line list of Ac16Ir3Ru5 for Cu Ka, from a DFT-relaxed cell (PBE, Alexandria).

Principal peaks in the range 2θ = 5–70°, low angle first:
24.69°, intensity 15; 25.84°, intensity 15; 27.15°, intensity 100; 30.84°, intensity 45; 40.64°, intensity 23; 41.88°, intensity 46; 46.36°, intensity 17; 50.63°, intensity 17

Structural model:
Unit cell a=8.6264 b=8.6264 c=13.7930 alpha=90.15 beta=90.15 gamma=60.03
Element x y z (fractional)
Ac1 0.0000 0.0000 0.0000
Ac2 0.0008 0.0008 0.4998
Ac3 0.0275 0.4912 0.9857
Ac4 0.1670 0.6680 0.7306
Ac5 0.1687 0.1687 0.7327
Ac6 0.3348 0.8325 0.2301
Ac7 0.3376 0.3376 0.2256
Ac8 0.4912 0.0275 0.9857
Ac9 0.4907 0.4907 0.9855
Ac10 0.5156 0.5156 0.4847
Ac11 0.5166 0.9778 0.4842
Ac12 0.6680 0.1670 0.7306
Ac13 0.6718 0.6718 0.7261
Ac14 0.8325 0.3348 0.2301
Ac15 0.8344 0.8344 0.2284
Ac16 0.9778 0.5166 0.4842
Ir1 0.1691 0.1691 0.1121
Ir2 0.3364 0.8364 0.6126
Ir3 0.8364 0.3364 0.6126
Ru1 0.1687 0.6699 0.1137
Ru2 0.3349 0.3349 0.8384
Ru3 0.6676 0.6676 0.3394
Ru4 0.6699 0.1687 0.1137
Ru5 0.8372 0.8372 0.6139

Simulated powder diffraction line list of CsNaH for Cu Ka, from a DFT-relaxed cell (PBE, Alexandria).

Principal peaks in the range 2θ = 5–70°, low angle first:
14.61°, intensity 30; 20.19°, intensity 37; 24.30°, intensity 38; 26.00°, intensity 30; 26.86°, intensity 100; 33.14°, intensity 23; 46.39°, intensity 22; 48.01°, intensity 20

Structural model:
Unit cell a=7.7112 b=7.7112 c=7.7112 alpha=144.72 beta=127.23 gamma=65.08
Element x y z (fractional)
Cs1 0.3466 0.0966 0.2500
Cs2 0.6534 0.9034 0.7500
Na1 0.1148 0.3648 0.7500
Na2 0.8852 0.6352 0.2500
H1 0.0000 0.5000 0.5000
H2 0.5000 0.5000 0.0000

Simulated powder diffraction line list of Sm4CdHg2Rh for Cu Ka, from a DFT-relaxed cell (PBE, Alexandria).

Principal peaks in the range 2θ = 5–70°, low angle first:
31.34°, intensity 13; 33.90°, intensity 100; 34.23°, intensity 77; 46.96°, intensity 10; 48.94°, intensity 28; 60.66°, intensity 19; 60.87°, intensity 29; 65.15°, intensity 12

Structural model:
Unit cell a=9.0475 b=9.0475 c=9.0475 alpha=33.99 beta=33.99 gamma=33.99
Element x y z (fractional)
Sm1 0.1133 0.1133 0.1133
Sm2 0.3679 0.3679 0.3679
Sm3 0.6321 0.6321 0.6321
Sm4 0.8867 0.8867 0.8867
Cd1 0.5000 0.5000 0.5000
Hg1 0.2385 0.2385 0.2385
Hg2 0.7615 0.7615 0.7615
Rh1 0.0000 0.0000 0.0000

Simulated powder diffraction line list of Pa6Co5Rh for Cu Ka, from a DFT-relaxed cell (PBE, Alexandria).

Principal peaks in the range 2θ = 5–70°, low angle first:
27.07°, intensity 42; 27.92°, intensity 59; 34.02°, intensity 100; 38.66°, intensity 40; 44.01°, intensity 24; 47.83°, intensity 48; 55.82°, intensity 33; 56.29°, intensity 28

Structural model:
Unit cell a=6.5875 b=6.5875 c=13.1758 alpha=90.00 beta=90.00 gamma=120.00
Element x y z (fractional)
Pa1 0.0000 0.3415 0.1173
Pa2 0.0000 0.3415 0.3827
Pa3 0.0000 0.6585 0.6173
Pa4 0.0000 0.6585 0.8827
Pa5 0.3415 0.0000 0.1173
Pa6 0.3415 0.0000 0.3827
Pa7 0.3415 0.3415 0.6173
Pa8 0.3415 0.3415 0.8827
Pa9 0.6585 0.0000 0.6173
Pa10 0.6585 0.0000 0.8827
Pa11 0.6585 0.6585 0.1173
Pa12 0.6585 0.6585 0.3827
Co1 0.0000 0.3892 0.7500
Co2 0.0000 0.6108 0.2500
Co3 0.3333 0.6667 0.0000
Co4 0.3333 0.6667 0.5000
Co5 0.3892 0.0000 0.7500
Co6 0.3892 0.3892 0.2500
Co7 0.6108 0.0000 0.2500
Co8 0.6108 0.6108 0.7500
Co9 0.6667 0.3333 0.0000
Co10 0.6667 0.3333 0.5000
Rh1 0.0000 0.0000 0.2500
Rh2 0.0000 0.0000 0.7500

Simulated powder diffraction line list of LaPr4Sb5 for Cu Ka, from a DFT-relaxed cell (PBE, Alexandria).

Principal peaks in the range 2θ = 5–70°, low angle first:
23.84°, intensity 1; 27.59°, intensity 100; 39.42°, intensity 77; 46.59°, intensity 1; 48.79°, intensity 28; 56.97°, intensity 13; 64.42°, intensity 18; 64.48°, intensity 18

Structural model:
Unit cell a=12.0901 b=12.0901 c=12.0901 alpha=158.18 beta=149.00 gamma=38.23
Element x y z (fractional)
La1 0.0000 0.0000 0.0000
Pr1 0.2007 0.2007 0.0000
Pr2 0.3997 0.3997 0.0000
Pr3 0.6003 0.6003 0.0000
Pr4 0.7993 0.7993 0.0000
Sb1 0.1010 0.6010 0.5000
Sb2 0.3001 0.8001 0.5000
Sb3 0.5000 0.0000 0.5000
Sb4 0.6999 0.1999 0.5000
Sb5 0.8990 0.3990 0.5000

Simulated powder diffraction line list of Y4GaOs for Cu Ka, from a DFT-relaxed cell (PBE, Alexandria).

Principal peaks in the range 2θ = 5–70°, low angle first:
13.17°, intensity 100; 13.33°, intensity 76; 30.72°, intensity 44; 31.62°, intensity 42; 35.67°, intensity 95; 35.83°, intensity 40; 36.97°, intensity 49; 40.24°, intensity 42

Structural model:
Unit cell a=8.0068 b=8.0068 c=6.2113 alpha=105.92 beta=105.92 gamma=112.05
Element x y z (fractional)
Y1 0.0556 0.7065 0.9158
Y2 0.2224 0.3554 0.6965
Y3 0.2935 0.9444 0.5842
Y4 0.3554 0.2224 0.1965
Y5 0.6446 0.7776 0.8035
Y6 0.7065 0.0556 0.4158
Y7 0.7776 0.6446 0.3035
Y8 0.9444 0.2935 0.0842
Ga1 0.3678 0.6322 0.2500
Ga2 0.6322 0.3678 0.7500
Os1 0.0003 0.9997 0.2500
Os2 0.9997 0.0003 0.7500

Simulated powder diffraction line list of CsRbAg2 for Cu Ka, from a DFT-relaxed cell (PBE, Alexandria).

Principal peaks in the range 2θ = 5–70°, low angle first:
15.50°, intensity 51; 25.26°, intensity 76; 26.85°, intensity 49; 28.29°, intensity 64; 30.30°, intensity 75; 32.15°, intensity 100; 35.12°, intensity 60; 46.38°, intensity 43

Structural model:
Unit cell a=5.1110 b=7.0629 c=9.7394 alpha=90.00 beta=90.00 gamma=90.00
Element x y z (fractional)
Cs1 0.0000 0.1379 0.0000
Cs2 0.0000 0.8621 0.5000
Rb1 0.5000 0.3641 0.6435
Rb2 0.5000 0.6359 0.1435
Ag1 0.0000 0.3439 0.3515
Ag2 0.0000 0.6561 0.8515
Ag3 0.5000 0.1718 0.2989
Ag4 0.5000 0.8282 0.7989